Starting from the GGA-PBE geometry in Alexandria, the PXRD pattern of Zr2Al6Pd was simulated for copper Kα.
Neutral-atom scattering factors, no anomalous dispersion.

Peak list (10 most intense, 10 to 80 degrees two-theta, by intensity)
| 2theta | intensity |
| --- | --- |
| 35.5 | 100 |
| 36.9 | 71 |
| 40.1 | 70 |
| 31.5 | 62 |
| 15.8 | 51 |
| 59.7 | 26 |
| 24.1 | 26 |
| 52.3 | 25 |
| 71.6 | 24 |
| 65.8 | 24 |

Structure:
```
Zr2Al6Pd
1.0
5.674 0.000 0.000
-2.837 4.914 0.000
0.000 0.000 5.612
Zr Al Pd
2 6 1
direct
0.333 0.667 0.131 Zr
0.667 0.333 0.869 Zr
0.177 0.355 0.681 Al
0.177 0.823 0.681 Al
0.355 0.177 0.319 Al
0.645 0.823 0.681 Al
0.823 0.177 0.319 Al
0.823 0.645 0.319 Al
0.000 0.000 0.000 Pd
```